(1)
Computed X-ray powder pattern
Compound: OsSe3
Radiation: Cu Kα (weighted mean of Kα1 and Kα2)
Structure: a structure optimized by DFT (PBE)
Neutral-atom scattering factors, no anomalous dispersion.

Atomic structure:
```
data_OsSe3
_chemical_formula_sum 'Os1 Se3'
_symmetry_space_group_name_H-M 'P 1'
_symmetry_Int_Tables_number 1
_cell_length_a 3.8797
_cell_length_b 3.8797
_cell_length_c 7.8997
_cell_angle_alpha 99.29
_cell_angle_beta 99.29
_cell_angle_gamma 47.09
loop_
_symmetry_equiv_pos_as_xyz
'x,y,z'
loop_
_atom_site_label
_atom_site_type_symbol
_atom_site_fract_x
_atom_site_fract_y
_atom_site_fract_z
Os1 Os 0.0000 0.0000 0.0000
Se1 Se 0.3325 0.3325 0.1769
Se2 Se 0.5000 0.5000 0.5000
Se3 Se 0.6675 0.6675 0.8231
```

Peak list (6 most intense, 10° ≤ 2θ ≤ 80°, most intense first)
- 11.38°, intensity 100
- 32.85°, intensity 68
- 37.47°, intensity 34
- 37.93°, intensity 26
- 49.30°, intensity 24
- 45.72°, intensity 22

=====

(2)
Computed X-ray powder pattern
Compound: Os5Se
Radiation: Cu Kα (weighted mean of Kα1 and Kα2)
Structure: a structure optimized by DFT (PBE)
Neutral-atom scattering factors, no anomalous dispersion.

Atomic structure:
```
data_Os5Se
_chemical_formula_sum 'Os5 Se1'
_symmetry_space_group_name_H-M 'P 1'
_symmetry_Int_Tables_number 1
_cell_length_a 5.2351
_cell_length_b 5.2351
_cell_length_c 6.5944
_cell_angle_alpha 106.87
_cell_angle_beta 106.87
_cell_angle_gamma 31.21
loop_
_symmetry_equiv_pos_as_xyz
'x,y,z'
loop_
_atom_site_label
_atom_site_type_symbol
_atom_site_fract_x
_atom_site_fract_y
_atom_site_fract_z
Os1 Os 0.0000 0.0000 0.0000
Os2 Os 0.0525 0.0525 0.6450
Os3 Os 0.3207 0.3207 0.6825
Os4 Os 0.6210 0.6210 0.3448
Os5 Os 0.7203 0.7203 0.9686
Se1 Se 0.3677 0.3677 0.3146
```

Peak list (6 most intense, 10° ≤ 2θ ≤ 80°, most intense first)
- 42.22°, intensity 100
- 42.74°, intensity 77
- 37.32°, intensity 75
- 39.75°, intensity 67
- 43.16°, intensity 57
- 44.21°, intensity 48

=====

(3)
Computed X-ray powder pattern
Compound: Os3Se5
Radiation: Cu Kα (weighted mean of Kα1 and Kα2)
Structure: a structure optimized by DFT (PBE)
Neutral-atom scattering factors, no anomalous dispersion.

Atomic structure:
```
data_Os3Se5
_chemical_formula_sum 'Os6 Se10'
_symmetry_space_group_name_H-M 'P 1'
_symmetry_Int_Tables_number 1
_cell_length_a 5.2347
_cell_length_b 8.2733
_cell_length_c 8.2733
_cell_angle_alpha 56.98
_cell_angle_beta 90.00
_cell_angle_gamma 90.00
loop_
_symmetry_equiv_pos_as_xyz
'x,y,z'
loop_
_atom_site_label
_atom_site_type_symbol
_atom_site_fract_x
_atom_site_fract_y
_atom_site_fract_z
Os1 Os 0.2500 0.0871 0.9129
Os2 Os 0.2500 0.4878 0.0804
Os3 Os 0.2500 0.9099 0.4956
Os4 Os 0.7500 0.0804 0.4878
Os5 Os 0.7500 0.4956 0.9099
Os6 Os 0.7500 0.9129 0.0871
Se1 Se 0.0000 0.1381 0.1381
Se2 Se 0.0000 0.7962 0.7962
Se3 Se 0.2500 0.2252 0.4463
Se4 Se 0.2500 0.4605 0.7696
Se5 Se 0.2500 0.7347 0.1805
Se6 Se 0.5000 0.1381 0.1381
Se7 Se 0.5000 0.7962 0.7962
Se8 Se 0.7500 0.1805 0.7347
Se9 Se 0.7500 0.4463 0.2252
Se10 Se 0.7500 0.7696 0.4605
```

Peak list (6 most intense, 10° ≤ 2θ ≤ 80°, most intense first)
- 40.81°, intensity 100
- 12.76°, intensity 90
- 37.14°, intensity 87
- 37.78°, intensity 77
- 48.54°, intensity 73
- 34.26°, intensity 72

=====

(4)
Computed X-ray powder pattern
Compound: Os3Se
Radiation: Cu Kα (weighted mean of Kα1 and Kα2)
Structure: a structure optimized by DFT (PBE)
Neutral-atom scattering factors, no anomalous dispersion.

Atomic structure:
```
data_Os3Se
_chemical_formula_sum 'Os6 Se2'
_symmetry_space_group_name_H-M 'P 1'
_symmetry_Int_Tables_number 1
_cell_length_a 3.9769
_cell_length_b 5.6502
_cell_length_c 7.6966
_cell_angle_alpha 90.00
_cell_angle_beta 90.00
_cell_angle_gamma 90.00
loop_
_symmetry_equiv_pos_as_xyz
'x,y,z'
loop_
_atom_site_label
_atom_site_type_symbol
_atom_site_fract_x
_atom_site_fract_y
_atom_site_fract_z
Os1 Os 0.2500 0.0303 0.1019
Os2 Os 0.2500 0.2500 0.8101
Os3 Os 0.2500 0.4697 0.1019
Os4 Os 0.7500 0.5303 0.8981
Os5 Os 0.7500 0.7500 0.1899
Os6 Os 0.7500 0.9697 0.8981
Se1 Se 0.2500 0.7500 0.3865
Se2 Se 0.7500 0.2500 0.6135
```

Peak list (6 most intense, 10° ≤ 2θ ≤ 80°, most intense first)
- 11.50°, intensity 100
- 45.92°, intensity 43
- 41.90°, intensity 24
- 19.49°, intensity 23
- 40.90°, intensity 22
- 29.83°, intensity 16

=====

(5)
Computed X-ray powder pattern
Compound: SrOs2Se
Radiation: Cu Kα (weighted mean of Kα1 and Kα2)
Structure: a structure optimized by DFT (PBE)
Neutral-atom scattering factors, no anomalous dispersion.

Atomic structure:
```
data_SrOs2Se
_chemical_formula_sum 'Sr1 Os2 Se1'
_symmetry_space_group_name_H-M 'P 1'
_symmetry_Int_Tables_number 1
_cell_length_a 2.8654
_cell_length_b 3.7614
_cell_length_c 7.7600
_cell_angle_alpha 90.00
_cell_angle_beta 90.00
_cell_angle_gamma 90.00
loop_
_symmetry_equiv_pos_as_xyz
'x,y,z'
loop_
_atom_site_label
_atom_site_type_symbol
_atom_site_fract_x
_atom_site_fract_y
_atom_site_fract_z
Sr1 Sr 0.0000 0.0000 0.0000
Os1 Os 0.0000 0.0000 0.4366
Os2 Os 0.5000 0.5000 0.3097
Se1 Se 0.5000 0.5000 0.7420
```

Peak list (6 most intense, 10° ≤ 2θ ≤ 80°, most intense first)
- 11.40°, intensity 100
- 33.17°, intensity 62
- 39.54°, intensity 60
- 39.08°, intensity 40
- 22.92°, intensity 27
- 41.28°, intensity 19

=====

(6)
Computed X-ray powder pattern
Compound: TaOsSe4
Radiation: Cu Kα (weighted mean of Kα1 and Kα2)
Structure: a structure optimized by DFT (PBE)
Neutral-atom scattering factors, no anomalous dispersion.

Atomic structure:
```
data_TaOsSe4
_chemical_formula_sum 'Ta1 Os1 Se4'
_symmetry_space_group_name_H-M 'P 1'
_symmetry_Int_Tables_number 1
_cell_length_a 7.3294
_cell_length_b 7.3294
_cell_length_c 5.9360
_cell_angle_alpha 101.49
_cell_angle_beta 101.49
_cell_angle_gamma 27.19
loop_
_symmetry_equiv_pos_as_xyz
'x,y,z'
loop_
_atom_site_label
_atom_site_type_symbol
_atom_site_fract_x
_atom_site_fract_y
_atom_site_fract_z
Ta1 Ta 0.0000 0.0000 0.0000
Os1 Os 0.5109 0.5109 0.3948
Se1 Se 0.1361 0.1361 0.3450
Se2 Se 0.3722 0.3722 0.0481
Se3 Se 0.6064 0.6064 0.8138
Se4 Se 0.9082 0.9082 0.5539
```

Peak list (6 most intense, 10° ≤ 2θ ≤ 80°, most intense first)
- 12.70°, intensity 100
- 34.13°, intensity 47
- 47.00°, intensity 22
- 35.84°, intensity 19
- 42.13°, intensity 17
- 30.16°, intensity 14

=====

(7)
Computed X-ray powder pattern
Compound: TbThOsSe
Radiation: Cu Kα (weighted mean of Kα1 and Kα2)
Structure: a structure optimized by DFT (PBE)
Neutral-atom scattering factors, no anomalous dispersion.

Atomic structure:
```
data_TbThOsSe
_chemical_formula_sum 'Tb1 Th1 Os1 Se1'
_symmetry_space_group_name_H-M 'P 1'
_symmetry_Int_Tables_number 1
_cell_length_a 7.5574
_cell_length_b 7.5574
_cell_length_c 7.5574
_cell_angle_alpha 31.45
_cell_angle_beta 31.45
_cell_angle_gamma 31.45
loop_
_symmetry_equiv_pos_as_xyz
'x,y,z'
loop_
_atom_site_label
_atom_site_type_symbol
_atom_site_fract_x
_atom_site_fract_y
_atom_site_fract_z
Tb1 Tb 0.0000 0.0000 0.0000
Th1 Th 0.1897 0.1897 0.1897
Os1 Os 0.5919 0.5919 0.5919
Se1 Se 0.7572 0.7572 0.7572
```

Peak list (6 most intense, 10° ≤ 2θ ≤ 80°, most intense first)
- 32.71°, intensity 100
- 44.22°, intensity 51
- 26.45°, intensity 48
- 12.33°, intensity 35
- 38.75°, intensity 35
- 49.52°, intensity 22

=====

(8)
Computed X-ray powder pattern
Compound: TcOs4Se
Radiation: Cu Kα (weighted mean of Kα1 and Kα2)
Structure: a structure optimized by DFT (PBE)
Neutral-atom scattering factors, no anomalous dispersion.

Atomic structure:
```
data_TcOs4Se
_chemical_formula_sum 'Tc1 Os4 Se1'
_symmetry_space_group_name_H-M 'P 1'
_symmetry_Int_Tables_number 1
_cell_length_a 5.1605
_cell_length_b 5.1605
_cell_length_c 5.1605
_cell_angle_alpha 60.00
_cell_angle_beta 60.00
_cell_angle_gamma 60.00
loop_
_symmetry_equiv_pos_as_xyz
'x,y,z'
loop_
_atom_site_label
_atom_site_type_symbol
_atom_site_fract_x
_atom_site_fract_y
_atom_site_fract_z
Tc1 Tc 0.0000 0.0000 0.0000
Os1 Os 0.1233 0.6256 0.6256
Os2 Os 0.6256 0.1233 0.6256
Os3 Os 0.6256 0.6256 0.1233
Os4 Os 0.6256 0.6256 0.6256
Se1 Se 0.2500 0.2500 0.2500
```

Peak list (6 most intense, 10° ≤ 2θ ≤ 80°, most intense first)
- 41.02°, intensity 100
- 42.93°, intensity 65
- 21.08°, intensity 43
- 66.58°, intensity 32
- 73.39°, intensity 31
- 49.99°, intensity 18